(1)
# K17ZnCd11
Calculated X-ray diffraction stick pattern, Cu Ka. Input: a crystal structure in Alexandria, relaxed with GGA-PBE.

Structural model:
```
K17ZnCd11
1.0
6.825 -8.875 0.000
6.825 8.875 0.000
-4.718 0.000 10.120
K Zn Cd
17 1 11
direct
0.000 0.000 0.000
0.000 0.626 0.376
0.003 0.003 0.376
0.004 0.421 0.027
0.007 0.652 0.797
0.277 0.277 0.045
0.283 0.678 0.655
0.289 0.289 0.662
0.401 0.646 0.022
0.421 0.004 0.027
0.425 0.652 0.376
0.626 0.000 0.376
0.646 0.401 0.022
0.648 0.648 0.767
0.652 0.007 0.797
0.652 0.425 0.376
0.678 0.283 0.655
0.723 0.723 0.261
0.137 0.956 0.689
0.142 0.318 0.332
0.190 0.828 0.202
0.318 0.142 0.332
0.318 0.959 0.515
0.713 0.888 0.090
0.822 0.822 0.549
0.828 0.190 0.202
0.888 0.713 0.090
0.956 0.137 0.689
0.959 0.318 0.515
```

The 12 most intense peaks (2θ from 15° to 90°), by angle:
- 16.6°, 5.332 Å, rel. 65
- 17.3°, 5.120 Å, rel. 35
- 26.4°, 3.380 Å, rel. 38
- 28.3°, 3.158 Å, rel. 25
- 28.6°, 3.124 Å, rel. 93
- 28.9°, 3.090 Å, rel. 49
- 29.8°, 2.996 Å, rel. 78
- 32.0°, 2.796 Å, rel. 100
- 33.1°, 2.703 Å, rel. 47
- 33.7°, 2.659 Å, rel. 27
- 36.4°, 2.471 Å, rel. 36
- 40.5°, 2.226 Å, rel. 26

(2)
# PrMn6Ge6
Calculated X-ray diffraction stick pattern, Cu Ka. Input: a crystal structure in Alexandria, relaxed with GGA-PBE.

Structural model:
```
PrMn6Ge6
1.0
-2.604 4.114 4.508
2.604 -4.114 4.508
2.604 4.114 -4.508
Pr Mn Ge
1 6 6
direct
0.000 0.000 0.000
0.000 0.000 0.500
0.000 0.500 0.000
0.252 0.500 0.752
0.500 0.000 0.000
0.500 0.500 0.500
0.748 0.500 0.248
0.172 0.672 0.500
0.339 0.339 0.000
0.348 0.000 0.348
0.652 0.000 0.652
0.661 0.661 0.000
0.828 0.328 0.500
```

The 12 most intense peaks (2θ from 15° to 90°), by angle:
- 34.2°, 2.624 Å, rel. 17
- 34.4°, 2.603 Å, rel. 74
- 37.0°, 2.427 Å, rel. 14
- 40.0°, 2.255 Å, rel. 48
- 41.0°, 2.200 Å, rel. 100
- 42.3°, 2.137 Å, rel. 22
- 44.0°, 2.057 Å, rel. 23
- 45.9°, 1.977 Å, rel. 43
- 66.2°, 1.412 Å, rel. 23
- 72.6°, 1.302 Å, rel. 29
- 78.9°, 1.213 Å, rel. 28
- 89.0°, 1.100 Å, rel. 17

(3)
# AcPr2Nd2Tm2
Calculated X-ray diffraction stick pattern, Cu Ka. Input: a crystal structure in Alexandria, relaxed with GGA-PBE.

Structural model:
```
AcPr2Nd2Tm2
1.0
5.826 -2.611 0.000
5.826 2.611 0.000
-1.173 0.000 8.118
Ac Pr Nd Tm
1 2 2 2
direct
0.000 0.000 0.000
0.286 0.286 0.847
0.714 0.714 0.153
0.426 0.426 0.294
0.574 0.574 0.706
0.142 0.142 0.434
0.858 0.858 0.566
```

The 12 most intense peaks (2θ from 15° to 90°), by angle:
- 29.7°, 3.006 Å, rel. 100
- 34.3°, 2.611 Å, rel. 17
- 34.5°, 2.599 Å, rel. 34
- 49.4°, 1.843 Å, rel. 12
- 49.5°, 1.842 Å, rel. 18
- 49.7°, 1.834 Å, rel. 6
- 58.7°, 1.573 Å, rel. 15
- 58.8°, 1.570 Å, rel. 14
- 59.0°, 1.566 Å, rel. 14
- 61.6°, 1.505 Å, rel. 6
- 61.8°, 1.501 Å, rel. 6
- 80.3°, 1.196 Å, rel. 9

(4)
# Tb2TmPaP4
Calculated X-ray diffraction stick pattern, Cu Ka. Input: a crystal structure in Alexandria, relaxed with GGA-PBE.

Structural model:
```
Tb2TmPaP4
1.0
6.887 0.000 0.000
0.000 3.994 0.000
-2.304 0.000 6.516
Tb Tm Pa P
2 1 1 4
direct
0.000 0.000 0.000
0.500 0.500 0.000
0.000 0.500 0.500
0.500 0.000 0.500
0.250 0.000 0.743
0.252 0.500 0.256
0.748 0.500 0.744
0.750 0.000 0.257
```

The 12 most intense peaks (2θ from 15° to 90°), by angle:
- 27.4°, 3.255 Å, rel. 94
- 31.7°, 2.819 Å, rel. 100
- 45.4°, 1.996 Å, rel. 37
- 45.6°, 1.991 Å, rel. 37
- 53.9°, 1.701 Å, rel. 27
- 54.0°, 1.699 Å, rel. 15
- 56.5°, 1.629 Å, rel. 19
- 66.3°, 1.410 Å, rel. 12
- 73.1°, 1.295 Å, rel. 9
- 75.3°, 1.262 Å, rel. 17
- 75.5°, 1.259 Å, rel. 17
- 84.0°, 1.152 Å, rel. 15

(5)
# PaZn11Os
Calculated X-ray diffraction stick pattern, Cu Ka. Input: a crystal structure in Alexandria, relaxed with GGA-PBE.

Structural model:
```
PaZn11Os
1.0
2.581 -6.470 0.000
2.581 6.470 0.000
-2.390 0.000 6.148
Pa Zn Os
1 11 1
direct
0.000 0.000 0.000
0.000 0.500 0.000
0.016 0.667 0.643
0.283 0.502 0.784
0.333 0.984 0.357
0.498 0.717 0.216
0.500 0.000 0.000
0.500 0.500 0.500
0.502 0.283 0.784
0.667 0.016 0.643
0.717 0.498 0.216
0.984 0.333 0.357
0.000 0.000 0.500
```

The 12 most intense peaks (2θ from 15° to 90°), by angle:
- 19.7°, 4.510 Å, rel. 35
- 27.8°, 3.212 Å, rel. 23
- 29.1°, 3.072 Å, rel. 35
- 32.2°, 2.777 Å, rel. 20
- 34.5°, 2.600 Å, rel. 17
- 35.2°, 2.550 Å, rel. 44
- 39.5°, 2.279 Å, rel. 47
- 40.0°, 2.255 Å, rel. 52
- 40.5°, 2.228 Å, rel. 79
- 40.8°, 2.213 Å, rel. 100
- 41.8°, 2.163 Å, rel. 18
- 44.9°, 2.017 Å, rel. 21

(6)
# BC3
Calculated X-ray diffraction stick pattern, Cu Ka. Input: a crystal structure in Alexandria, relaxed with GGA-PBE.

Structural model:
```
BC3
1.0
4.605 0.000 0.000
0.000 2.547 0.000
-0.147 0.000 6.347
B C
3 9
direct
0.000 0.000 0.000
0.166 0.500 0.668
0.512 0.500 0.248
0.006 0.000 0.268
0.192 0.500 0.928
0.325 0.000 0.342
0.351 0.000 0.576
0.508 0.500 0.982
0.668 0.000 0.910
0.670 0.000 0.661
0.827 0.500 0.585
0.849 0.500 0.338
```

The 12 most intense peaks (2θ from 15° to 90°), by angle:
- 24.1°, 3.686 Å, rel. 6
- 42.1°, 2.148 Å, rel. 47
- 42.7°, 2.116 Å, rel. 53
- 42.9°, 2.110 Å, rel. 100
- 71.8°, 1.315 Å, rel. 27
- 72.8°, 1.299 Å, rel. 26
- 73.2°, 1.292 Å, rel. 12
- 74.5°, 1.273 Å, rel. 13
- 86.4°, 1.127 Å, rel. 8
- 88.3°, 1.107 Å, rel. 10
- 89.5°, 1.095 Å, rel. 7
- 89.9°, 1.091 Å, rel. 9

(7)
# LaNd2DyTl2
Calculated X-ray diffraction stick pattern, Cu Ka. Input: a crystal structure in Alexandria, relaxed with GGA-PBE.

Structural model:
```
LaNd2DyTl2
1.0
5.262 0.000 0.000
0.000 10.315 0.000
0.000 0.000 6.956
La Nd Dy Tl
2 4 2 4
direct
0.000 0.045 0.000
0.000 0.955 0.500
0.000 0.318 0.374
0.000 0.682 0.874
0.500 0.453 0.098
0.500 0.547 0.598
0.500 0.192 0.722
0.500 0.808 0.222
0.000 0.360 0.840
0.000 0.640 0.340
0.500 0.130 0.266
0.500 0.870 0.766
```

The 12 most intense peaks (2θ from 15° to 90°), by angle:
- 29.0°, 3.082 Å, rel. 15
- 30.8°, 2.902 Å, rel. 47
- 31.1°, 2.879 Å, rel. 100
- 32.0°, 2.793 Å, rel. 66
- 33.7°, 2.660 Å, rel. 31
- 34.1°, 2.631 Å, rel. 50
- 36.8°, 2.445 Å, rel. 20
- 40.7°, 2.218 Å, rel. 15
- 51.0°, 1.791 Å, rel. 16
- 59.1°, 1.562 Å, rel. 13
- 59.7°, 1.548 Å, rel. 11
- 66.3°, 1.409 Å, rel. 12

(8)
# Ba6HPd3
Calculated X-ray diffraction stick pattern, Cu Ka. Input: a crystal structure in Alexandria, relaxed with GGA-PBE.

Structural model:
```
Ba6HPd3
1.0
7.608 0.000 0.000
0.000 8.369 0.000
-6.987 0.000 11.548
Ba H Pd
12 2 6
direct
0.101 0.185 0.433
0.101 0.315 0.933
0.237 0.675 0.422
0.237 0.825 0.922
0.396 0.051 0.246
0.396 0.449 0.746
0.604 0.551 0.254
0.604 0.949 0.754
0.763 0.175 0.078
0.763 0.325 0.578
0.899 0.685 0.067
0.899 0.815 0.567
0.000 0.000 0.000
0.000 0.500 0.500
0.183 0.107 0.734
0.183 0.393 0.234
0.500 0.000 0.500
0.500 0.500 0.000
0.817 0.607 0.766
0.817 0.893 0.266
```

The 12 most intense peaks (2θ from 15° to 90°), by angle:
- 25.3°, 3.516 Å, rel. 51
- 25.7°, 3.460 Å, rel. 30
- 26.3°, 3.388 Å, rel. 21
- 26.5°, 3.360 Å, rel. 100
- 28.5°, 3.131 Å, rel. 28
- 28.6°, 3.119 Å, rel. 25
- 29.2°, 3.059 Å, rel. 18
- 31.6°, 2.833 Å, rel. 20
- 34.2°, 2.619 Å, rel. 22
- 41.1°, 2.195 Å, rel. 22
- 44.9°, 2.017 Å, rel. 19
- 46.2°, 1.966 Å, rel. 18

(9)
# InOsPbO6
Calculated X-ray diffraction stick pattern, Cu Ka. Input: a crystal structure in Alexandria, relaxed with GGA-PBE.

Structural model:
```
InOsPbO6
1.0
-3.393 3.674 5.007
3.393 -3.674 5.007
3.393 3.674 -5.007
In Os Pb O
2 2 2 12
direct
0.500 0.000 0.000
0.500 0.500 0.500
0.000 0.000 0.000
0.500 0.000 0.500
0.132 0.382 0.750
0.868 0.618 0.250
0.074 0.319 0.144
0.074 0.930 0.755
0.325 0.070 0.644
0.325 0.681 0.255
0.331 0.081 0.250
0.377 0.627 0.750
0.623 0.373 0.250
0.669 0.919 0.750
0.675 0.319 0.745
0.675 0.930 0.356
0.926 0.070 0.245
0.926 0.681 0.856
```

The 12 most intense peaks (2θ from 15° to 90°), by angle:
- 25.2°, 3.533 Å, rel. 44
- 26.3°, 3.393 Å, rel. 17
- 29.0°, 3.075 Å, rel. 100
- 29.4°, 3.039 Å, rel. 29
- 29.8°, 2.995 Å, rel. 36
- 30.2°, 2.962 Å, rel. 29
- 30.4°, 2.944 Å, rel. 37
- 31.9°, 2.809 Å, rel. 36
- 46.6°, 1.948 Å, rel. 16
- 48.1°, 1.891 Å, rel. 20
- 49.6°, 1.837 Å, rel. 15
- 51.8°, 1.766 Å, rel. 53

(10)
# Pr3MnGaS7
Calculated X-ray diffraction stick pattern, Cu Ka. Input: a crystal structure in Alexandria, relaxed with GGA-PBE.

Structural model:
```
Pr3MnGaS7
1.0
10.075 0.000 0.000
-5.037 8.725 0.000
0.000 0.000 6.229
Pr Mn Ga S
6 2 2 14
direct
0.149 0.772 0.000
0.228 0.377 0.000
0.377 0.149 0.500
0.623 0.851 0.000
0.772 0.623 0.500
0.851 0.228 0.500
0.000 0.000 0.205
0.000 0.000 0.705
0.333 0.667 0.578
0.667 0.333 0.078
0.095 0.520 0.729
0.096 0.859 0.429
0.141 0.237 0.429
0.237 0.096 0.929
0.333 0.667 0.215
0.425 0.905 0.729
0.480 0.575 0.729
0.520 0.425 0.229
0.575 0.095 0.229
0.667 0.333 0.715
0.763 0.904 0.429
0.859 0.763 0.929
0.904 0.141 0.929
0.905 0.480 0.229
```

The 12 most intense peaks (2θ from 15° to 90°), by angle:
- 17.5°, 5.070 Å, rel. 22
- 22.7°, 3.917 Å, rel. 19
- 24.9°, 3.573 Å, rel. 100
- 27.0°, 3.298 Å, rel. 25
- 34.0°, 2.635 Å, rel. 34
- 35.4°, 2.535 Å, rel. 39
- 35.6°, 2.519 Å, rel. 38
- 39.8°, 2.264 Å, rel. 24
- 40.0°, 2.256 Å, rel. 22
- 47.7°, 1.905 Å, rel. 22
- 48.6°, 1.875 Å, rel. 21
- 50.1°, 1.821 Å, rel. 21

(11)
# TlTe2
Calculated X-ray diffraction stick pattern, Cu Ka. Input: a crystal structure in Alexandria, relaxed with GGA-PBE.

Structural model:
```
TlTe2
1.0
5.649 0.000 0.000
0.000 3.236 0.000
-0.070 0.000 6.298
Tl Te
1 2
direct
0.000 0.000 0.000
0.498 0.500 0.744
0.502 0.500 0.256
```

The 12 most intense peaks (2θ from 15° to 90°), by angle:
- 21.0°, 4.229 Å, rel. 30
- 21.2°, 4.182 Å, rel. 30
- 31.1°, 2.878 Å, rel. 23
- 31.7°, 2.824 Å, rel. 51
- 31.9°, 2.808 Å, rel. 100
- 32.4°, 2.764 Å, rel. 48
- 32.7°, 2.738 Å, rel. 46
- 34.9°, 2.569 Å, rel. 21
- 39.9°, 2.257 Å, rel. 54
- 51.6°, 1.770 Å, rel. 26
- 52.1°, 1.756 Å, rel. 25
- 56.5°, 1.627 Å, rel. 20

(12)
# Hf6FeIr2
Calculated X-ray diffraction stick pattern, Cu Ka. Input: a crystal structure in Alexandria, relaxed with GGA-PBE.

Structural model:
```
Hf6FeIr2
1.0
5.454 0.000 0.000
0.000 7.086 0.000
-5.375 0.000 9.047
Hf Fe Ir
12 2 4
direct
0.094 0.055 0.251
0.094 0.445 0.751
0.201 0.714 0.058
0.201 0.786 0.558
0.388 0.151 0.045
0.388 0.349 0.545
0.612 0.651 0.455
0.612 0.849 0.955
0.799 0.214 0.442
0.799 0.286 0.942
0.906 0.555 0.249
0.906 0.945 0.749
0.500 0.000 0.500
0.500 0.500 0.000
0.337 0.098 0.721
0.337 0.402 0.221
0.663 0.598 0.779
0.663 0.902 0.279
```

The 12 most intense peaks (2θ from 15° to 90°), by angle:
- 31.7°, 2.819 Å, rel. 26
- 32.1°, 2.789 Å, rel. 58
- 33.8°, 2.649 Å, rel. 34
- 35.3°, 2.545 Å, rel. 24
- 36.1°, 2.489 Å, rel. 35
- 36.2°, 2.479 Å, rel. 100
- 36.6°, 2.455 Å, rel. 29
- 36.8°, 2.445 Å, rel. 60
- 39.9°, 2.262 Å, rel. 29
- 40.5°, 2.226 Å, rel. 22
- 40.8°, 2.210 Å, rel. 22
- 42.9°, 2.110 Å, rel. 44